# PmNd2Dy2Y4
Computed powder XRD pattern, Cu Kα (weighted mean of Kα1 and Kα2). Input: a crystal structure in Alexandria, relaxed with PBE.

```
9
Lattice="9.4190 -1.8148 0.0000 9.4190 1.8148 0.0000 -4.1844 0.0000 8.6834" Properties=species:S:1:pos:R:3 pbc="T T T"
Pm 0.0000 0.0000 0.0000
Nd 6.2778 0.0000 0.0138
Nd 8.3759 0.0000 8.6696
Dy 0.0051 0.0000 5.7640
Dy 14.6486 0.0000 2.9194
Y 2.1004 0.0000 2.9145
Y 6.2782 0.0000 5.7611
Y 8.3755 0.0000 2.9223
Y 12.5533 0.0000 5.7689
```

Principal peaks in the range 2θ = 10–80°, low angle first:
| Position (°2θ) | Rel. int. |
| --- | --- |
| 28.6 | 45 |
| 30.9 | 49 |
| 31.6 | 100 |
| 33.3 | 91 |
| 50.3 | 38 |
| 60.2 | 43 |